# Mg2Nb2FeO8
Theoretical powder X-ray diffraction pattern, Cu Kα X-rays. Input: DFT lattice parameters and positions (GGA+U).
No peak broadening, texture or thermal motion is included.

Principal peaks in the range 2θ = 5–70°, by angle:
20.1°, I = 38, hkl 3 1 0
23.0°, I = 42, hkl 1 1 -1
26.5°, I = 100, hkl 3 1 1
27.3°, I = 44, hkl 5 1 0
32.4°, I = 61, hkl 5 1 -1
32.5°, I = 59, hkl 5 1 1
34.2°, I = 53, hkl 0 2 1
34.6°, I = 33, hkl 0 0 2
51.4°, I = 30, hkl 8 2 -1
51.5°, I = 48, hkl 8 0 -2

```
data_Mg2Nb2FeO8
_cell_length_a 19.3388
_cell_length_b 6.0683
_cell_length_c 5.1850
_cell_angle_alpha 90.00
_cell_angle_beta 90.31
_cell_angle_gamma 90.00
_space_group_name_H-M_alt 'C 1 2/c 1'
_space_group_IT_number 15
loop_
_space_group_symop_operation_xyz
'x,y,z'
'-x,-y,-z'
'-x,y,-z+1/2'
'x,-y,z+1/2'
'x+1/2,y+1/2,z'
'-x+1/2,-y+1/2,-z'
'-x+1/2,y+1/2,-z+1/2'
'x+1/2,-y+1/2,z+1/2'
loop_
_atom_site_label
_atom_site_fract_x
_atom_site_fract_y
_atom_site_fract_z
_atom_site_occupancy
Mg1 0.2295 0.1400 0.2524 1
Nb1 0.1168 0.3298 0.7590 1
Fe1 0.0000 0.1549 0.2500 1
O1 0.0597 0.1260 0.9175 1
O2 0.0726 0.3915 0.4224 1
O3 0.1886 0.3948 0.0431 1
O4 0.1912 0.1452 0.6155 1
```